The following is a simulated X-ray diffraction stick pattern of SrTiSi2S8. It was derived from a PBE-relaxed structure, using Cu Kα (weighted mean of Kα1 and Kα2).

The 10 most intense peaks (10 to 90 degrees two-theta), most intense first:
d [Å], two_theta, I (rel.), h k l
2.798, 31.98, 1000, 1 1 1
2.436, 36.89, 868, 2 -1 2
3.290, 27.10, 558, 1 0 2
1.737, 52.70, 521, 1 1 4
1.709, 53.62, 461, 3 0 0
2.860, 31.28, 391, 0 0 3
2.960, 30.19, 334, 1 1 0
5.127, 17.30, 303, 1 0 0
1.467, 63.40, 253, 3 0 3
2.201, 41.01, 215, 2 0 2

```
SrTiSi2S8
1.0
5.9205 0.0000 0.0000
-2.9603 5.1273 0.0000
0.0000 0.0000 8.5795
Sr Ti Si S
1 1 2 8
direct
0.0000 0.0000 0.0000
0.0000 0.0000 0.5000
0.3333 0.6667 0.7390
0.6667 0.3333 0.2610
0.0148 0.6836 0.3271
0.3164 0.3312 0.3271
0.3312 0.0148 0.6729
0.3333 0.6667 0.9859
0.6667 0.3333 0.0141
0.6688 0.9852 0.3271
0.6836 0.6688 0.6729
0.9852 0.3164 0.6729
```